Record 1
For LiSbN2, a crystal structure in Alexandria, relaxed with PBE gives the theoretical PXRD pattern in this record (Cu Kα X-rays).

Peak list (8 most intense, 10 to 90 degrees two-theta, by angle)
| 2θ (°) | I (rel.) |
| --- | --- |
| 20.0 | 82 |
| 20.7 | 100 |
| 30.0 | 32 |
| 33.0 | 37 |
| 34.3 | 70 |
| 35.2 | 32 |
| 38.8 | 27 |
| 54.4 | 33 |

Unit cell a=5.7783 b=6.9569 c=5.4359 alpha=90.00 beta=90.00 gamma=90.00
Space group Pna2_1 (No. 33)
Inequivalent atoms, fractional coordinates:
Li 0.0829 0.1251 0.0000 x4
Sb 0.0813 0.6260 0.0038 x4
N 0.0652 0.6156 0.3750 x4
N 0.0876 0.1352 0.3901 x4

---

Record 2
For LiSc2WN4, a crystal structure in Alexandria, relaxed with PBE gives the theoretical PXRD pattern in this record (Cu Kα X-rays).

Peak list (8 most intense, 10 to 90 degrees two-theta, by angle)
| 2θ (°) | I (rel.) |
| --- | --- |
| 22.6 | 100 |
| 35.2 | 49 |
| 36.3 | 25 |
| 40.1 | 18 |
| 41.3 | 33 |
| 47.5 | 14 |
| 47.7 | 14 |
| 58.9 | 21 |

Unit cell a=6.1697 b=8.9919 c=6.1909 alpha=90.00 beta=90.00 gamma=90.00
Space group Fmm2 (No. 42)
Inequivalent atoms, fractional coordinates:
Li 0.0000 0.0000 0.0000 x4
Sc 0.2500 0.2500 0.2477 x8
W 0.0000 0.0000 0.5273 x4
N 0.0000 0.2274 0.4938 x8
N 0.2377 0.0000 0.7391 x8

---

Record 3
For LiSe2N2, a crystal structure in Alexandria, relaxed with PBE gives the theoretical PXRD pattern in this record (Cu Kα X-rays).

Peak list (8 most intense, 10 to 90 degrees two-theta, by angle)
| 2θ (°) | I (rel.) |
| --- | --- |
| 23.3 | 100 |
| 32.7 | 32 |
| 33.1 | 31 |
| 40.5 | 45 |
| 47.2 | 24 |
| 47.6 | 21 |
| 58.9 | 22 |
| 64.2 | 23 |

Unit cell a=3.8244 b=3.8244 c=5.4842 alpha=90.00 beta=90.00 gamma=90.00
Space group P4/mmm (No. 123)
Inequivalent atoms, fractional coordinates:
Li 0.0000 0.0000 0.0000 x1
Se 0.5000 0.5000 0.0000 x1
Se 0.5000 0.5000 0.5000 x1
N 0.0000 0.5000 0.5000 x2

---

Record 4
For Li5SeN, a crystal structure in Alexandria, relaxed with PBE gives the theoretical PXRD pattern in this record (Cu Kα X-rays).

Peak list (8 most intense, 10 to 90 degrees two-theta, by angle)
| 2θ (°) | I (rel.) |
| --- | --- |
| 16.4 | 85 |
| 23.0 | 57 |
| 23.4 | 49 |
| 28.8 | 100 |
| 33.1 | 23 |
| 41.0 | 35 |
| 44.2 | 31 |
| 44.7 | 26 |

Unit cell a=7.5398 b=7.7415 c=7.5910 alpha=90.00 beta=90.00 gamma=90.00
Space group Imma (No. 74)
Inequivalent atoms, fractional coordinates:
Li 0.0000 0.2500 0.1880 x4
Li 0.2041 0.2500 0.4988 x8
Li 0.2500 0.9999 0.2500 x8
Se 0.0000 0.2500 0.7756 x4
N 0.2500 0.2500 0.2500 x4

---

Record 5
For LiSi2N3, a crystal structure in Alexandria, relaxed with PBE gives the theoretical PXRD pattern in this record (Cu Kα X-rays).

Peak list (8 most intense, 10 to 90 degrees two-theta, by angle)
| 2θ (°) | I (rel.) |
| --- | --- |
| 20.3 | 67 |
| 23.3 | 16 |
| 26.8 | 31 |
| 36.2 | 48 |
| 36.4 | 100 |
| 37.1 | 57 |
| 61.2 | 32 |
| 62.4 | 31 |

Unit cell a=5.2296 b=9.1794 c=5.1064 alpha=90.00 beta=108.39 gamma=90.00
Space group Cc (No. 9)
Inequivalent atoms, fractional coordinates:
Li 0.0000 0.0771 0.0000 x4
Si 0.0141 0.4148 0.9954 x4
Si 0.4932 0.2477 0.9934 x4
N 0.3514 0.3903 0.1015 x4
N 0.3552 0.2277 0.6235 x4
N 0.4168 0.0785 0.1271 x4

---

Record 6
For Li3Si2N4, a crystal structure in Alexandria, relaxed with PBE gives the theoretical PXRD pattern in this record (Cu Kα X-rays).

Peak list (8 most intense, 10 to 90 degrees two-theta, by angle)
| 2θ (°) | I (rel.) |
| --- | --- |
| 14.1 | 19 |
| 16.8 | 100 |
| 22.1 | 60 |
| 32.8 | 23 |
| 38.7 | 11 |
| 41.0 | 36 |
| 46.1 | 9 |
| 46.7 | 12 |

Unit cell a=10.5369 b=2.9057 c=8.1660 alpha=90.00 beta=129.88 gamma=90.00
Space group C2/m (No. 12)
Inequivalent atoms, fractional coordinates:
Li 0.0000 0.0000 0.0000 x2
Li 0.1977 0.0000 0.8336 x4
Si 0.1371 0.5000 0.3467 x4
N 0.0669 0.5000 0.8591 x4
N 0.2429 0.0000 0.3620 x4